For ErTmMg2Ge2, the PBE geometry in OQMD gives the calculated powder XRD pattern in this record (Cu Kα X-rays).
Neutral-atom scattering factors, no anomalous dispersion.

The 10 most intense peaks (10 to 90 degrees two-theta), by angle:
2θ (°), Rel. int.
11.67, 54
27.82, 56
30.48, 100
32.74, 57
35.52, 35
36.71, 45
38.82, 62
43.65, 58
47.49, 37
57.48, 35

Crystal structure
```
ErTmMg2Ge2
1.0
4.148 0.000 0.000
0.000 4.148 0.000
0.000 0.000 15.164
Er Tm Mg Ge
2 2 4 4
Direct
0.000 0.000 0.000 Er
0.500 0.500 0.500 Er
0.000 0.000 0.659 Tm
0.500 0.500 0.159 Tm
0.000 0.500 0.329 Mg
0.000 0.500 0.829 Mg
0.500 0.000 0.329 Mg
0.500 0.000 0.829 Mg
0.000 0.000 0.193 Ge
0.000 0.000 0.466 Ge
0.500 0.500 0.693 Ge
0.500 0.500 0.966 Ge
```